No. 1
Starting from a cell relaxed with GGA-PBE, the powder diffraction line list of Dy4ErSb5 was simulated for λ = 1.5418 Å (Cu Kα).
Intensities are scaled so that the largest is 100.

Crystal structure
Lattice parameters (Å, degrees): 4.377 4.377 30.943 90.00 90.00 90.00
Space group I4/mmm (No. 139)
Asymmetric unit:
Dy: 0.000 0.000 0.100
Dy: 0.000 0.000 0.300
Er: 0.000 0.000 0.500
Sb: 0.000 0.000 0.000
Sb: 0.000 0.000 0.200
Sb: 0.000 0.000 0.400

Main lines, in order of rising 2θ (2θ from 10° to 80°):
| Position (°2θ) | I_rel | (hkl) |
| --- | --- | --- |
| 28.85 | 100 | 1 1 0 |
| 41.26 | 76 | 2 0 0 |
| 51.12 | 27 | 2 0 10 |
| 59.77 | 13 | 2 2 0 |
| 67.70 | 35 | 3 1 0 |
| 75.21 | 26 | 3 1 10 |

No. 2
Starting from a cell relaxed with GGA-PBE, the powder diffraction line list of Li2Ga3Ag6 was simulated for λ = 1.5418 Å (Cu Kα).
Intensities are scaled so that the largest is 100.

Crystal structure
Lattice parameters (Å, degrees): 5.371 5.624 6.944 74.40 75.20 73.84
Space group P-1 (No. 2)
Asymmetric unit:
Li: 0.178 0.419 0.341
Ga: 0.058 0.250 0.953
Ga: 0.500 0.000 0.500
Ag: 0.128 0.929 0.317
Ag: 0.316 0.572 0.675
Ag: 0.462 0.775 0.962

Main lines, in order of rising 2θ (2θ from 10° to 80°):
| Position (°2θ) | I_rel | (hkl) |
| --- | --- | --- |
| 30.24 | 55 | -1 1 1 |
| 38.98 | 60 | 0 2 2 |
| 39.43 | 79 | 0 2 -1 |
| 39.81 | 54 | 1 1 3 |
| 40.60 | 100 | 2 0 2 |
| 41.12 | 69 | 2 2 1 |

No. 3
Starting from a cell relaxed with GGA-PBE, the powder diffraction line list of AcLa2TmSe5 was simulated for λ = 1.5418 Å (Cu Kα).
Intensities are scaled so that the largest is 100.

Crystal structure
Lattice parameters (Å, degrees): 5.108 5.108 11.334 90.00 90.00 90.00
Space group P4/mmm (No. 123)
Asymmetric unit:
Ac: 0.000 0.000 0.000
La: 0.500 0.500 0.331
Tm: 0.000 0.000 0.500
Se: 0.000 0.000 0.257
Se: 0.000 0.500 0.500
Se: 0.500 0.500 0.000

Main lines, in order of rising 2θ (2θ from 10° to 80°):
| Position (°2θ) | I_rel | (hkl) |
| --- | --- | --- |
| 23.45 | 34 | 1 0 2 |
| 24.65 | 100 | 1 1 0 |
| 34.35 | 53 | 1 1 3 |
| 35.13 | 82 | 2 0 0 |
| 36.25 | 46 | 1 0 4 |
| 51.38 | 35 | 2 1 4 |

No. 4
Starting from a cell relaxed with GGA-PBE, the powder diffraction line list of BaCu3Se3 was simulated for λ = 1.5418 Å (Cu Kα).
Intensities are scaled so that the largest is 100.

Crystal structure
Lattice parameters (Å, degrees): 7.0907 7.0907 22.8636 90.00 90.00 120.00
Space group R-3 (No. 148, hexagonal axes)
Asymmetric unit:
Ba: 0.0000 0.0000 0.1665
Cu: 0.0022 0.3449 0.6276
Se: 0.0009 0.3254 0.4039

Main lines, in order of rising 2θ (2θ from 10° to 80°):
| Position (°2θ) | I_rel | (hkl) |
| --- | --- | --- |
| 27.75 | 100 | 1 1 3 |
| 34.56 | 55 | 1 1 6 |
| 35.33 | 24 | 0 0 9 |
| 43.84 | 41 | 1 1 9 |
| 44.25 | 73 | 3 0 0 |
| 57.85 | 34 | 3 0 9 |